[1]
The following is a computed powder diffraction line list of Na3LiHg8. It was derived from a PBE-relaxed structure, using Cu Kα, 1.54184 Å.

Structure:
```
data_Na3LiHg8
_chemical_formula_sum 'Na6 Li2 Hg16'
_space_group_name_H-M_alt 'C 1 m 1'
_space_group_IT_number 8
_cell_length_a 10.963
_cell_length_b 10.896
_cell_length_c 5.637
_cell_angle_alpha 90.00
_cell_angle_beta 119.55
_cell_angle_gamma 90.00
loop_
_space_group_symop_operation_xyz
'x,y,z'
'x,-y,z'
'x+1/2,y+1/2,z'
'x+1/2,-y+1/2,z'
loop_
_atom_site_label
_atom_site_type_symbol
_atom_site_fract_x
_atom_site_fract_y
_atom_site_fract_z
Na1 Na 0.000 0.000 0.000
Na2 Na 0.246 0.250 0.000
Li1 Li 0.499 0.000 0.999
Hg1 Hg 0.078 0.259 0.326
Hg2 Hg 0.163 0.500 0.681
Hg3 Hg 0.173 0.000 0.661
Hg4 Hg 0.327 0.500 0.339
Hg5 Hg 0.338 0.000 0.319
Hg6 Hg 0.414 0.241 0.673
```

Principal peaks in the range 2θ from 10° to 80°, sorted by position:
h k l  2θ (°)  intensity
2 2 -1  24.76  100
4 0 -1  32.67  63
0 4 0  32.88  62
2 2 -2  35.88  99
2 2 1  36.09  99
4 4 -1  47.03  46

=====

[2]
The following is a computed powder diffraction line list of Mg2ZrZn. It was derived from a PBE-relaxed structure, using Cu Kα, 1.54184 Å.

Structure:
```
data_Mg2ZrZn
_chemical_formula_sum 'Mg2 Zr1 Zn1'
_space_group_name_H-M_alt 'P 4 m m'
_space_group_IT_number 99
_cell_length_a 3.145
_cell_length_b 3.145
_cell_length_c 8.220
_cell_angle_alpha 90.00
_cell_angle_beta 90.00
_cell_angle_gamma 90.00
loop_
_space_group_symop_operation_xyz
'x,y,z'
'-y,x,z'
'-x,-y,z'
'y,-x,z'
'-x,y,z'
'y,x,z'
'x,-y,z'
'-y,-x,z'
loop_
_atom_site_label
_atom_site_type_symbol
_atom_site_fract_x
_atom_site_fract_y
_atom_site_fract_z
Mg1 Mg 0.000 0.000 0.000
Mg2 Mg 0.500 0.500 0.277
Zr1 Zr 0.500 0.500 0.719
Zn1 Zn 0.000 0.000 0.493
```

Principal peaks in the range 2θ from 10° to 80°, sorted by position:
h k l  2θ (°)  intensity
0 0 1  10.76  85
1 0 1  30.43  19
1 0 2  35.96  100
1 1 0  40.57  38
1 0 3  43.82  18
2 1 2  70.81  25

=====

[3]
The following is a computed powder diffraction line list of Pr3Mg4In4. It was derived from a PBE-relaxed structure, using Cu Kα, 1.54184 Å.

Structure:
```
data_Pr3Mg4In4
_chemical_formula_sum 'Pr6 Mg8 In8'
_space_group_name_H-M_alt 'I m m m'
_space_group_IT_number 71
_space_group_name_Hall '-I 2 2'
_cell_length_a 4.834
_cell_length_b 7.626
_cell_length_c 15.967
_cell_angle_alpha 90.00
_cell_angle_beta 90.00
_cell_angle_gamma 90.00
loop_
_atom_site_label
_atom_site_type_symbol
_atom_site_fract_x
_atom_site_fract_y
_atom_site_fract_z
Pr1 Pr 0.000 0.000 0.000
Pr2 Pr 0.000 0.500 0.123
Mg1 Mg 0.000 0.305 0.329
In1 In 0.000 0.000 0.216
In2 In 0.000 0.193 0.500
```

Principal peaks in the range 2θ from 10° to 80°, sorted by position:
h k l  2θ (°)  intensity
1 0 3  24.88  17
1 2 1  30.37  100
1 1 4  31.34  83
2 0 0  37.20  29
1 2 5  41.34  18
0 3 5  45.62  16

=====

[4]
The following is a computed powder diffraction line list of LuPb. It was derived from a PBE-relaxed structure, using Cu Kα, 1.54184 Å.

Structure:
```
data_LuPb
_chemical_formula_sum 'Lu2 Pb2'
_space_group_name_H-M_alt 'P 1 21/m 1'
_space_group_IT_number 11
_cell_length_a 3.585
_cell_length_b 5.202
_cell_length_c 6.252
_cell_angle_alpha 90.00
_cell_angle_beta 106.29
_cell_angle_gamma 90.00
loop_
_space_group_symop_operation_xyz
'x,y,z'
'-x,-y,-z'
'-x,y+1/2,-z'
'x,-y+1/2,z'
loop_
_atom_site_label
_atom_site_type_symbol
_atom_site_fract_x
_atom_site_fract_y
_atom_site_fract_z
Lu1 Lu 0.121 0.250 0.257
Pb1 Pb 0.396 0.250 0.776
```

Principal peaks in the range 2θ from 10° to 80°, sorted by position:
h k l  2θ (°)  intensity
0 0 2  29.77  57
1 1 -1  31.21  100
0 2 0  34.49  45
1 1 1  37.78  41
1 1 -2  37.98  35
0 2 2  46.19  35

=====

[5]
The following is a computed powder diffraction line list of K2CaH6Rh. It was derived from a PBE-relaxed structure, using Cu Kα, 1.54184 Å.

Structure:
```
data_K2CaH6Rh
_chemical_formula_sum 'K2 Ca1 H6 Rh1'
_space_group_name_H-M_alt 'P -3 m 1'
_space_group_IT_number 164
_space_group_name_Hall '-P 3 2"'
_cell_length_a 5.8772
_cell_length_b 5.8772
_cell_length_c 5.8394
_cell_angle_alpha 90.00
_cell_angle_beta 90.00
_cell_angle_gamma 120.00
loop_
_atom_site_label
_atom_site_type_symbol
_atom_site_fract_x
_atom_site_fract_y
_atom_site_fract_z
K1 K 0.3333 0.6667 0.3650
Ca1 Ca 0.0000 0.0000 0.0000
H1 H 0.1343 0.2686 0.6714
Rh1 Rh 0.0000 0.0000 0.5000
```

Principal peaks in the range 2θ from 10° to 80°, sorted by position:
h k l  2θ (°)  intensity
0 0 1  15.17  53
1 0 0  17.42  96
1 1 0  30.42  100
1 1 1  34.16  38
1 0 2  35.44  69
2 1 2  57.36  33

=====

[6]
The following is a computed powder diffraction line list of LaPm5Sm6. It was derived from a PBE-relaxed structure, using Cu Kα, 1.54184 Å.

Structure:
```
data_LaPm5Sm6
_chemical_formula_sum 'La2 Pm10 Sm12'
_space_group_name_H-M_alt 'I m m m'
_space_group_IT_number 71
_space_group_name_Hall '-I 2 2'
_cell_length_a 5.163
_cell_length_b 10.317
_cell_length_c 15.477
_cell_angle_alpha 90.00
_cell_angle_beta 90.00
_cell_angle_gamma 90.00
loop_
_atom_site_label
_atom_site_type_symbol
_atom_site_fract_x
_atom_site_fract_y
_atom_site_fract_z
La1 La 0.000 0.000 0.000
Pm1 Pm 0.000 0.000 0.333
Pm2 Pm 0.000 0.500 0.000
Pm3 Pm 0.000 0.500 0.332
Sm1 Sm 0.000 0.248 0.500
Sm2 Sm 0.000 0.251 0.167
```

Principal peaks in the range 2θ from 10° to 80°, sorted by position:
h k l  2θ (°)  intensity
1 2 3  29.99  100
2 0 0  34.77  51
2 4 0  49.99  36
3 2 3  59.40  43
2 4 6  62.33  12
4 0 0  73.39  6

=====

[7]
The following is a computed powder diffraction line list of Rb3H2Cl3. It was derived from a PBE-relaxed structure, using Cu Kα, 1.54184 Å.

Structure:
```
data_Rb3H2Cl3
_chemical_formula_sum 'Rb12 H8 Cl12'
_space_group_name_H-M_alt 'C 1 2/c 1'
_space_group_IT_number 15
_cell_length_a 4.895
_cell_length_b 11.074
_cell_length_c 19.086
_cell_angle_alpha 90.00
_cell_angle_beta 95.49
_cell_angle_gamma 90.00
loop_
_space_group_symop_operation_xyz
'x,y,z'
'-x,-y,-z'
'-x,y,-z+1/2'
'x,-y,z+1/2'
'x+1/2,y+1/2,z'
'-x+1/2,-y+1/2,-z'
'-x+1/2,y+1/2,-z+1/2'
'x+1/2,-y+1/2,z+1/2'
loop_
_atom_site_label
_atom_site_type_symbol
_atom_site_fract_x
_atom_site_fract_y
_atom_site_fract_z
Rb1 Rb 0.000 0.090 0.250
Rb2 Rb 0.006 0.359 0.083
H1 H 0.099 0.054 0.418
Cl1 Cl 0.000 0.390 0.250
Cl2 Cl 0.028 0.341 0.593
```

Principal peaks in the range 2θ from 10° to 80°, sorted by position:
h k l  2θ (°)  intensity
1 1 -1  20.05  39
0 2 3  21.29  100
0 0 6  28.18  96
1 3 0  30.41  89
0 4 0  32.32  60
2 0 0  36.89  56

=====

[8]
The following is a computed powder diffraction line list of Cs2AsBrCl5. It was derived from a PBE-relaxed structure, using Cu Kα, 1.54184 Å.

Structure:
```
data_Cs2AsBrCl5
_chemical_formula_sum 'Cs4 As2 Br2 Cl10'
_space_group_name_H-M_alt 'I 4 m m'
_space_group_IT_number 107
_space_group_name_Hall 'I 4 -2'
_cell_length_a 7.632
_cell_length_b 7.632
_cell_length_c 10.461
_cell_angle_alpha 90.00
_cell_angle_beta 90.00
_cell_angle_gamma 90.00
loop_
_atom_site_label
_atom_site_type_symbol
_atom_site_fract_x
_atom_site_fract_y
_atom_site_fract_z
Cs1 Cs 0.000 0.500 0.000
As1 As 0.000 0.000 0.250
Br1 Br 0.000 0.000 0.499
Cl1 Cl 0.000 0.000 0.023
Cl2 Cl 0.224 0.224 0.250
```

Principal peaks in the range 2θ from 10° to 80°, sorted by position:
h k l  2θ (°)  intensity
1 0 1  14.37  39
2 0 0  23.31  44
1 1 2  23.69  43
2 0 2  28.96  100
2 2 0  33.20  61
2 2 4  48.48  39

=====

[9]
The following is a computed powder diffraction line list of AcGaNi6Ge. It was derived from a PBE-relaxed structure, using Cu Kα, 1.54184 Å.

Structure:
```
data_AcGaNi6Ge
_chemical_formula_sum 'Ac4 Ga4 Ni24 Ge4'
_space_group_name_H-M_alt 'C 1 2/m 1'
_space_group_IT_number 12
_cell_length_a 14.543
_cell_length_b 7.630
_cell_length_c 5.318
_cell_angle_alpha 90.00
_cell_angle_beta 111.20
_cell_angle_gamma 90.00
loop_
_space_group_symop_operation_xyz
'x,y,z'
'-x,-y,-z'
'-x,y,-z'
'x,-y,z'
'x+1/2,y+1/2,z'
'-x+1/2,-y+1/2,-z'
'-x+1/2,y+1/2,-z'
'x+1/2,-y+1/2,z'
loop_
_atom_site_label
_atom_site_type_symbol
_atom_site_fract_x
_atom_site_fract_y
_atom_site_fract_z
Ac1 Ac 0.250 0.000 0.001
Ga1 Ga 0.250 0.250 0.500
Ni1 Ni 0.005 0.000 0.754
Ni2 Ni 0.092 0.224 0.586
Ni3 Ni 0.092 0.225 0.097
Ni4 Ni 0.142 0.500 0.392
Ge1 Ge 0.000 0.500 0.000
Ge2 Ge 0.000 0.500 0.500
```

Principal peaks in the range 2θ from 10° to 80°, sorted by position:
h k l  2θ (°)  intensity
0 2 1  29.56  100
2 2 1  35.10  99
4 2 0  35.43  78
4 0 -2  36.35  46
2 2 -2  41.39  66
0 4 0  47.68  54

=====

[10]
The following is a computed powder diffraction line list of Ce2CoRe3. It was derived from a PBE-relaxed structure, using Cu Kα, 1.54184 Å.

Structure:
```
data_Ce2CoRe3
_chemical_formula_sum 'Ce4 Co2 Re6'
_space_group_name_H-M_alt 'C 1 2/m 1'
_space_group_IT_number 12
_cell_length_a 9.073
_cell_length_b 5.229
_cell_length_c 5.534
_cell_angle_alpha 90.00
_cell_angle_beta 123.16
_cell_angle_gamma 90.00
loop_
_space_group_symop_operation_xyz
'x,y,z'
'-x,-y,-z'
'-x,y,-z'
'x,-y,z'
'x+1/2,y+1/2,z'
'-x+1/2,-y+1/2,-z'
'-x+1/2,y+1/2,-z'
'x+1/2,-y+1/2,z'
loop_
_atom_site_label
_atom_site_type_symbol
_atom_site_fract_x
_atom_site_fract_y
_atom_site_fract_z
Ce1 Ce 0.128 0.000 0.385
Co1 Co 0.000 0.500 0.500
Re1 Re 0.000 0.500 0.000
Re2 Re 0.250 0.250 0.000
```

Principal peaks in the range 2θ from 10° to 80°, sorted by position:
h k l  2θ (°)  intensity
1 1 1  32.47  61
2 0 1  37.97  45
3 1 0  39.55  93
4 0 -1  40.32  100
4 0 -2  41.93  70
2 2 2  67.99  36

=====

[11]
The following is a computed powder diffraction line list of Na2VCl4. It was derived from a PBE-relaxed structure, using Cu Kα, 1.54184 Å.

Structure:
```
data_Na2VCl4
_chemical_formula_sum 'Na4 V2 Cl8'
_space_group_name_H-M_alt 'C m m m'
_space_group_IT_number 65
_space_group_name_Hall '-C 2 2'
_cell_length_a 8.129
_cell_length_b 11.186
_cell_length_c 3.800
_cell_angle_alpha 90.00
_cell_angle_beta 90.00
_cell_angle_gamma 90.00
loop_
_atom_site_label
_atom_site_type_symbol
_atom_site_fract_x
_atom_site_fract_y
_atom_site_fract_z
Na1 Na 0.250 0.250 0.000
V1 V 0.000 0.000 0.500
Cl1 Cl 0.000 0.224 0.500
Cl2 Cl 0.205 0.000 0.000
```

Principal peaks in the range 2θ from 10° to 80°, sorted by position:
h k l  2θ (°)  intensity
1 1 0  13.47  100
0 4 0  32.00  42
2 0 1  32.25  85
3 1 1  41.73  19
2 4 1  46.07  49
0 4 2  58.77  23

=====

[12]
The following is a computed powder diffraction line list of NaGa2RuO8. It was derived from a PBE-relaxed structure, using Cu Kα, 1.54184 Å.

Structure:
```
data_NaGa2RuO8
_chemical_formula_sum 'Na1 Ga2 Ru1 O8'
_space_group_name_H-M_alt 'P 1 2/m 1'
_space_group_IT_number 10
_cell_length_a 4.274
_cell_length_b 6.300
_cell_length_c 4.890
_cell_angle_alpha 90.00
_cell_angle_beta 90.19
_cell_angle_gamma 90.00
loop_
_space_group_symop_operation_xyz
'x,y,z'
'-x,-y,-z'
'-x,y,-z'
'x,-y,z'
loop_
_atom_site_label
_atom_site_type_symbol
_atom_site_fract_x
_atom_site_fract_y
_atom_site_fract_z
Na1 Na 0.000 0.000 0.000
Ga1 Ga 0.500 0.256 0.500
Ru1 Ru 0.000 0.500 0.000
O1 O 0.237 0.000 0.446
O2 O 0.254 0.500 0.341
O3 O 0.257 0.293 0.853
```

Principal peaks in the range 2θ from 10° to 80°, sorted by position:
h k l  2θ (°)  intensity
0 1 0  14.06  37
1 0 1  27.73  100
0 2 1  33.85  29
1 2 0  35.40  55
0 0 2  36.76  23
2 2 1  55.29  23